This entry pairs a crystal structure of SmThB12 with its calculated X-ray powder pattern. Radiation: copper Kα. Structure: a GGA-PBE-relaxed structure.
Kinematic intensities with the Lorentz-polarization factor, no thermal factor.

Structure:
```
SmThB12
1.0
0.000 4.114 4.114
4.114 0.000 4.114
4.114 4.114 0.000
Sm Th B
1 1 12
Cartesian
0.000 0.000 0.000
4.114 4.114 4.114
2.057 2.057 0.815
2.057 0.815 2.057
3.299 2.057 2.057
0.815 2.057 2.057
2.057 3.299 2.057
2.057 2.057 3.299
6.172 6.172 4.930
6.172 4.930 6.172
7.414 6.172 6.172
4.930 6.172 6.172
6.172 7.414 6.172
6.172 6.172 7.414
```

Peak list (10 most intense, 2θ from 15° to 90°, most intense first)
two_theta  I_rel
30.73  100
21.60  75
49.54  52
37.87  42
54.64  31
68.40  28
44.02  21
72.67  20
89.03  20
76.84  14

---

This entry pairs a crystal structure of Sn3B with its calculated X-ray powder pattern. Radiation: copper Kα. Structure: a GGA-PBE-relaxed structure.
Kinematic intensities with the Lorentz-polarization factor, no thermal factor.

Structure:
```
Sn3B
1.0
4.529 0.000 0.000
0.000 4.529 0.000
0.000 0.000 4.529
Sn B
3 1
Cartesian
0.000 0.000 2.264
0.000 2.264 0.000
2.264 0.000 0.000
2.264 2.264 2.264
```

Peak list (10 most intense, 2θ from 15° to 90°, most intense first)
two_theta  I_rel
34.30  100
39.81  50
68.74  42
57.56  35
19.60  27
27.86  23
44.75  14
72.27  12
49.29  10
61.42  7

---

This entry pairs a crystal structure of SnB with its calculated X-ray powder pattern. Radiation: copper Kα. Structure: a GGA-PBE-relaxed structure.
Kinematic intensities with the Lorentz-polarization factor, no thermal factor.

Structure:
```
SnB
1.0
3.696 0.000 0.000
-1.848 3.201 0.000
0.000 0.000 6.365
Sn B
2 2
Cartesian
0.000 2.134 0.000
1.848 1.067 3.182
0.000 2.134 4.096
1.848 1.067 0.914
```

Peak list (10 most intense, 2θ from 15° to 90°, most intense first)
two_theta  I_rel
31.28  100
28.04  31
51.69  30
57.68  30
27.88  28
49.32  23
39.95  19
59.57  17
80.89  15
74.23  11

---

This entry pairs a crystal structure of Sn3B with its calculated X-ray powder pattern. Radiation: copper Kα. Structure: a GGA-PBE-relaxed structure.
Kinematic intensities with the Lorentz-polarization factor, no thermal factor.

Structure:
```
Sn3B
1.0
-2.236 2.236 4.682
2.236 -2.236 4.682
2.236 2.236 -4.682
Sn B
3 1
Cartesian
0.000 0.000 0.000
2.236 0.000 2.341
0.000 2.236 2.341
0.000 0.000 4.682
```

Peak list (10 most intense, 2θ from 15° to 90°, most intense first)
two_theta  I_rel
34.21  100
40.33  32
69.41  27
22.02  27
56.94  24
38.45  18
66.85  15
72.07  12
58.35  11
18.95  9

---

This entry pairs a crystal structure of Sn3B with its calculated X-ray powder pattern. Radiation: copper Kα. Structure: a GGA-PBE-relaxed structure.
Kinematic intensities with the Lorentz-polarization factor, no thermal factor.

Structure:
```
Sn3B
1.0
0.000 3.589 3.589
3.589 0.000 3.589
3.589 3.589 0.000
Sn B
3 1
Cartesian
0.000 0.000 0.000
1.794 1.794 1.794
5.383 5.383 5.383
3.589 3.589 3.589
```

Peak list (10 most intense, 2θ from 15° to 90°, most intense first)
two_theta  I_rel
35.37  100
63.50  38
21.44  21
50.89  18
85.58  18
74.83  12
41.74  12
24.81  11
55.83  5
57.42  5

---

This entry pairs a crystal structure of SnB6 with its calculated X-ray powder pattern. Radiation: copper Kα. Structure: a GGA-PBE-relaxed structure.
Kinematic intensities with the Lorentz-polarization factor, no thermal factor.

Structure:
```
SnB6
1.0
4.201 0.000 0.000
0.000 4.201 0.000
0.000 0.000 4.201
Sn B
1 6
Cartesian
0.000 0.000 0.000
0.850 2.101 2.101
2.101 0.850 2.101
2.101 2.101 0.850
2.101 2.101 3.351
2.101 3.351 2.101
3.351 2.101 2.101
```

Peak list (10 most intense, 2θ from 15° to 90°, most intense first)
two_theta  I_rel
30.08  100
21.15  54
48.45  50
37.06  43
66.80  31
53.42  27
43.06  22
70.94  22
86.72  19
74.97  14

---

This entry pairs a crystal structure of Ta3B4 with its calculated X-ray powder pattern. Radiation: copper Kα. Structure: a GGA-PBE-relaxed structure.
Kinematic intensities with the Lorentz-polarization factor, no thermal factor.

Structure:
```
Ta3B4
1.0
-1.573 1.655 7.035
1.573 -1.655 7.035
1.573 1.655 -7.035
Ta B
3 4
Cartesian
0.000 0.000 0.000
1.573 0.000 2.607
0.000 1.655 4.428
1.573 0.000 5.157
0.000 0.000 6.131
0.000 0.000 7.939
0.000 1.655 1.878
```

Peak list (10 most intense, 2θ from 15° to 90°, most intense first)
two_theta  I_rel
34.32  100
41.63  92
42.15  61
27.68  60
67.22  31
66.92  30
38.39  30
74.87  23
55.52  17
47.52  15

---

This entry pairs a crystal structure of TaB4 with its calculated X-ray powder pattern. Radiation: copper Kα. Structure: a GGA-PBE-relaxed structure.
Kinematic intensities with the Lorentz-polarization factor, no thermal factor.

Structure:
```
TaB4
1.0
5.316 0.000 0.000
-2.658 4.604 0.000
0.000 0.000 6.783
Ta B
4 16
Cartesian
0.000 0.000 1.696
0.000 0.000 5.087
0.000 3.069 1.696
2.658 1.535 5.087
-0.895 1.550 0.000
-0.895 1.550 3.392
-1.763 3.054 0.000
-1.763 3.054 3.392
0.000 3.069 4.238
0.000 3.069 5.936
1.790 0.000 0.000
1.790 0.000 3.392
0.895 1.550 0.000
0.895 1.550 3.392
3.526 0.000 0.000
3.526 0.000 3.392
1.763 3.054 0.000
1.763 3.054 3.392
2.658 1.535 0.847
2.658 1.535 2.545
```

Peak list (10 most intense, 2θ from 15° to 90°, most intense first)
two_theta  I_rel
43.25  100
33.72  84
23.35  71
26.28  40
60.31  22
65.27  22
66.93  20
77.08  18
44.65  17
19.28  17